Entry 1:
The following is a theoretical PXRD pattern of MgNi4C. It was derived from a cell relaxed with PBE, using a wavelength of 1.5418 Å.
Peak positions follow from Bragg's law for the DFT cell and can differ from measured ones.

Largest 8 diffraction maxima, by angle, 15° ≤ 2θ ≤ 90°:
(1 0 0), 24.36°, rel. 60; (1 1 1), 37.97°, rel. 100; (1 0 2), 39.03°, rel. 31; (0 0 3), 45.71°, rel. 21; (1 1 2), 46.54°, rel. 53; (2 0 0), 49.93°, rel. 51; (1 0 3), 52.45°, rel. 27; (2 0 3), 70.00°, rel. 20

Crystal structure
Cell lengths 3.6533, 3.6533, 5.9545 Å; angles 90.00, 90.00, 90.00 degrees
Space group P4/mmm (No. 123)
Inequivalent atoms, fractional coordinates:
Mg (0.0000, 0.0000, 0.0000) x1
Ni (0.0000, 0.5000, 0.5000) x2
Ni (0.5000, 0.5000, 0.1910) x2
C (0.5000, 0.5000, 0.5000) x1

---

Entry 2:
The following is a theoretical PXRD pattern of Zr5Re. It was derived from a cell relaxed with PBE, using a wavelength of 1.5418 Å.
Peak positions follow from Bragg's law for the DFT cell and can differ from measured ones.

Largest 8 diffraction maxima, by angle, 15° ≤ 2θ ≤ 90°:
(0 2 0), 17.02°, rel. 5; (1 1 0), 19.97°, rel. 3; (2 0 0), 36.58°, rel. 100; (1 5 1), 51.11°, rel. 3; (2 0 2), 52.70°, rel. 17; (3 3 1), 65.86°, rel. 33; (4 0 0), 77.74°, rel. 8; (4 0 2), 89.13°, rel. 12

Crystal structure
Cell lengths 4.9175, 10.4189, 4.9091 Å; angles 90.00, 90.00, 90.00 degrees
Space group Cmmm (No. 65)
Inequivalent atoms, fractional coordinates:
Zr (0.0000, 0.0000, 0.0000) x2
Zr (0.0000, 0.1538, 0.5000) x4
Zr (0.0000, 0.3439, 0.0000) x4
Re (0.0000, 0.5000, 0.5000) x2

---

Entry 3:
The following is a theoretical PXRD pattern of SmTiPt3. It was derived from a cell relaxed with PBE, using a wavelength of 1.5418 Å.
Peak positions follow from Bragg's law for the DFT cell and can differ from measured ones.

Largest 8 diffraction maxima, by angle, 15° ≤ 2θ ≤ 90°:
(0 0 2), 30.31°, rel. 36; (2 0 0), 32.98°, rel. 17; (2 0 1), 36.42°, rel. 100; (2 0 2), 45.40°, rel. 24; (3 0 1), 52.90°, rel. 10; (2 0 3), 57.91°, rel. 27; (2 2 0), 58.90°, rel. 15; (2 2 2), 67.67°, rel. 14

Crystal structure
Cell lengths 6.2724, 6.2724, 5.8970 Å; angles 90.00, 90.00, 120.00 degrees
Space group P6_3/mmc (No. 194)
Inequivalent atoms, fractional coordinates:
Sm (0.3333, 0.6667, 0.2500) x2
Ti (0.0000, 0.0000, 0.0000) x2
Pt (0.1902, 0.3804, 0.7500) x6

---

Entry 4:
The following is a theoretical PXRD pattern of Zn2CuPd4. It was derived from a cell relaxed with PBE, using a wavelength of 1.5418 Å.
Peak positions follow from Bragg's law for the DFT cell and can differ from measured ones.

Largest 8 diffraction maxima, by angle, 15° ≤ 2θ ≤ 90°:
(1 2 -1), 36.82°, rel. 98; (1 0 -3), 39.99°, rel. 100; (2 0 1), 40.87°, rel. 88; (3 0 -2), 42.60°, rel. 82; (1 2 1), 42.67°, rel. 30; (2 2 -1), 43.64°, rel. 61; (0 2 2), 45.08°, rel. 64; (1 2 2), 52.83°, rel. 31

Crystal structure
Cell lengths 6.4718, 5.4043, 6.8261 Å; angles 90.00, 118.10, 90.00 degrees
Space group P2_1/m (No. 11)
Inequivalent atoms, fractional coordinates:
Zn (0.0690, 0.2500, 0.3635) x2
Zn (0.2535, 0.7500, 0.0653) x2
Cu (0.0635, 0.7500, 0.3553) x2
Pd (0.2027, 0.2500, 0.0597) x2
Pd (0.3321, 0.5025, 0.7604) x4
Pd (0.4926, 0.7500, 0.4919) x2

---

Entry 5:
The following is a theoretical PXRD pattern of Ac3La3Tb. It was derived from a cell relaxed with PBE, using a wavelength of 1.5418 Å.
Peak positions follow from Bragg's law for the DFT cell and can differ from measured ones.

Largest 8 diffraction maxima, by angle, 15° ≤ 2θ ≤ 90°:
(2 1 0), 26.55°, rel. 24; (0 0 2), 28.97°, rel. 25; (2 1 1), 30.32°, rel. 100; (2 1 2), 39.70°, rel. 17; (1 4 0), 46.88°, rel. 20; (2 1 3), 52.19°, rel. 22; (1 4 2), 56.05°, rel. 24; (4 2 1), 56.85°, rel. 17

Crystal structure
Cell lengths 10.2561, 10.2561, 6.1642 Å; angles 90.00, 90.00, 120.00 degrees
Space group P6_3/m (No. 176)
Inequivalent atoms, fractional coordinates:
Ac (0.0945, 0.4700, 0.2500) x6
La (0.0463, 0.2345, 0.7500) x6
Tb (0.3333, 0.6667, 0.7500) x2

---

Entry 6:
The following is a theoretical PXRD pattern of ReMoCl2. It was derived from a cell relaxed with PBE, using a wavelength of 1.5418 Å.
Peak positions follow from Bragg's law for the DFT cell and can differ from measured ones.

Largest 8 diffraction maxima, by angle, 15° ≤ 2θ ≤ 90°:
(0 1 1), 28.98°, rel. 96; (0 1 2), 33.87°, rel. 56; (1 0 2), 36.32°, rel. 86; (0 1 3), 40.87°, rel. 43; (1 1 1), 42.29°, rel. 100; (1 0 3), 42.98°, rel. 71; (1 1 2), 45.95°, rel. 50; (0 1 4), 49.28°, rel. 43

Crystal structure
Cell lengths 2.9672, 3.2817, 8.9533 Å; angles 90.00, 90.00, 90.00 degrees
Space group Pmm2 (No. 25)
Inequivalent atoms, fractional coordinates:
Re (0.0000, 0.0000, 0.0000) x1
Mo (0.5000, 0.5000, 0.8353) x1
Cl (0.0000, 0.5000, 0.6211) x1
Cl (0.5000, 0.0000, 0.2124) x1

---

Entry 7:
The following is a theoretical PXRD pattern of Ac2PaWN6. It was derived from a cell relaxed with PBE, using a wavelength of 1.5418 Å.
Peak positions follow from Bragg's law for the DFT cell and can differ from measured ones.

Largest 8 diffraction maxima, by angle, 15° ≤ 2θ ≤ 90°:
(1 0 2), 29.65°, rel. 100; (1 1 0), 30.10°, rel. 50; (0 0 4), 41.77°, rel. 11; (2 0 0), 43.08°, rel. 25; (1 1 4), 52.34°, rel. 18; (2 1 2), 53.17°, rel. 41; (2 0 4), 61.56°, rel. 14; (3 2 2), 86.55°, rel. 11

Crystal structure
Cell lengths 4.1993, 4.1993, 8.6502 Å; angles 90.00, 90.00, 90.00 degrees
Space group P4/mmm (No. 123)
Inequivalent atoms, fractional coordinates:
Ac (0.0000, 0.0000, 0.2262) x2
Pa (0.5000, 0.5000, 0.5000) x1
W (0.5000, 0.5000, 0.0000) x1
N (0.0000, 0.5000, 0.0000) x2
N (0.0000, 0.5000, 0.5000) x2
N (0.5000, 0.5000, 0.2304) x2

---

Entry 8:
The following is a theoretical PXRD pattern of NaAgBiSe2. It was derived from a cell relaxed with PBE, using a wavelength of 1.5418 Å.
Peak positions follow from Bragg's law for the DFT cell and can differ from measured ones.

Largest 8 diffraction maxima, by angle, 15° ≤ 2θ ≤ 90°:
(0 1 0), 19.26°, rel. 32; (0 1 2), 28.87°, rel. 41; (1 1 -2), 29.81°, rel. 100; (1 1 2), 33.21°, rel. 92; (2 1 -2), 35.70°, rel. 75; (3 0 0), 38.06°, rel. 30; (1 2 0), 41.19°, rel. 36; (2 1 2), 41.38°, rel. 40

Crystal structure
Cell lengths 7.2279, 4.6084, 8.5014 Å; angles 90.00, 101.07, 90.00 degrees
Space group P2/c (No. 13)
Inequivalent atoms, fractional coordinates:
Na (0.0000, 0.1446, 0.2500) x2
Ag (0.5000, 0.0000, 0.0000) x2
Bi (0.5000, 0.4904, 0.7500) x2
Se (0.2159, 0.3501, 0.9568) x4